For Li4Mn2CrNi3P6O24, DFT lattice parameters and positions (PBE+U) gives the calculated powder diffraction line list in this record (a wavelength of 1.5418 Å).
No peak broadening, texture or thermal motion is included.

Largest 10 diffraction maxima, low angle first, 2θ = 10–80°:
| hkl | 2theta | d_spacing | I (rel.) |
| --- | --- | --- | --- |
| 0 1 -1 | 20.13 | 4.411 | 100.0 |
| 0 1 2 | 23.89 | 3.725 | 37.8 |
| 1 2 0 | 24.00 | 3.708 | 38.1 |
| 2 0 1 | 24.13 | 3.688 | 37.3 |
| 1 0 -2 | 31.25 | 2.863 | 14.5 |
| 1 3 2 | 32.97 | 2.717 | 34.6 |
| 2 1 3 | 33.15 | 2.703 | 31.7 |
| 3 2 1 | 33.34 | 2.688 | 30.6 |
| -2 1 1 | 35.24 | 2.547 | 60.7 |
| 1 -3 2 | 55.08 | 1.667 | 33.2 |

a = 8.4735 Å, b = 8.5529 Å, c = 8.5542 Å
α = 62.12°, β = 62.43°, γ = 62.38°
Space group P1 (No. 1)
Inequivalent atoms, fractional coordinates:
1 Li 0.0000 0.0000 0.0000 x1
2 Li 0.1077 0.4986 0.8814 x1
3 Li 0.4837 0.7148 0.2883 x1
4 Li 0.8919 0.0903 0.5045 x1
5 Mn 0.2600 0.8565 0.6410 x1
6 Mn 0.7330 0.3582 0.1415 x1
7 Cr 0.8931 0.4999 0.2940 x1
8 Ni 0.1021 0.7053 0.4993 x1
9 Ni 0.3930 0.0013 0.7895 x1
10 Ni 0.6040 0.2101 0.9989 x1
11 P 0.2005 0.1062 0.1885 x1
12 P 0.2969 0.6057 0.0984 x1
13 P 0.5001 0.3987 0.6032 x1
14 P 0.7007 0.9030 0.3970 x1
15 P 0.7967 0.8128 0.8980 x1
16 P 0.9993 0.3070 0.6947 x1
17 O 0.0015 0.2663 0.2170 x1
18 O 0.0626 0.4603 0.6689 x1
19 O 0.1347 0.5423 0.1359 x1
20 O 0.1506 0.1090 0.7149 x1
21 O 0.1804 0.9500 0.3872 x1
22 O 0.2117 0.0503 0.0373 x1
23 O 0.2714 0.6678 0.2528 x1
24 O 0.2926 0.7722 0.9118 x1
25 O 0.3443 0.5981 0.5771 x1
26 O 0.3630 0.1611 0.1481 x1
27 O 0.4414 0.2436 0.6302 x1
28 O 0.4875 0.4494 0.0762 x1
29 O 0.5065 0.9205 0.5504 x1
30 O 0.5600 0.3697 0.7572 x1
31 O 0.6337 0.8489 0.8447 x1
32 O 0.6578 0.4244 0.4025 x1
33 O 0.6998 0.0875 0.2281 x1
34 O 0.7355 0.7416 0.3366 x1
35 O 0.7817 0.9636 0.9557 x1
36 O 0.8170 0.6127 0.0571 x1
37 O 0.8456 0.2820 0.8903 x1
38 O 0.8561 0.8751 0.4616 x1
39 O 0.9369 0.3411 0.5350 x1
40 O 0.9946 0.7848 0.7404 x1